This entry pairs a crystal structure of BaNaCrO4 with its calculated X-ray powder pattern. Radiation: CuKα. Structure: a structure optimized by DFT (GGA+U).
Kinematic intensities with the Lorentz-polarization factor, no thermal factor.

Crystal structure
a = 8.673 Å, b = 8.673 Å, c = 8.673 Å
α = 90.00°, β = 90.00°, γ = 90.00°
Space group F-43m (No. 216)
Asymmetric unit:
Ba (0.000, 0.000, 0.000) x4
Na (0.250, 0.250, 0.250) x4
Cr (0.000, 0.000, 0.500) x4
O (0.114, 0.114, 0.386) x16

Most intense lines, 15 to 90 degrees two-theta, by angle:
- 2θ = 20.5°, I = 79, hkl 2 0 0
- 2θ = 29.1°, I = 100, hkl 2 2 0
- 2θ = 34.3°, I = 28, hkl 3 1 1
- 2θ = 35.9°, I = 25, hkl 2 2 2
- 2θ = 46.8°, I = 27, hkl 4 2 0
- 2θ = 51.6°, I = 38, hkl 4 2 2